[1]
Diffraction record for Mg5Pd. The XRD peak list is simulated, not measured: it uses a cell relaxed with GGA-PBE and copper Kα.
Kinematic intensities with the Lorentz-polarization factor, no thermal factor.

Top 6 peaks for 2θ from 10° to 80°, by angle:
d_spacing  I (rel.)  h k l
4.627  53.2  1 0 0
3.337  36.6  1 0 1
2.672  32.5  1 1 0
2.408  23.5  0 0 2
2.336  100.0  1 1 1
1.789  19.2  1 1 2

Cell and atoms:
Cell lengths 5.3431, 5.3431, 4.8163 Å; angles 90.00, 90.00, 120.00 degrees
Space group P-62m (No. 189)
Symmetry-distinct sites (fractional):
1 Mg 0.0000 0.3150 0.0000 [3 per cell]
2 Mg 0.3333 0.6667 0.5000 [2 per cell]
3 Pd 0.0000 0.0000 0.5000 [1 per cell]

***

[2]
Diffraction record for Mg2Cu2H2CO9. The XRD peak list is simulated, not measured: it uses a cell relaxed with GGA-PBE and copper Kα.
Kinematic intensities with the Lorentz-polarization factor, no thermal factor.

Top 6 peaks for 2θ from 10° to 80°, by angle:
d_spacing  I (rel.)  h k l
7.645  60.0  1 1 0
6.136  100.0  1 1 -1
5.277  89.6  2 0 0
3.634  73.4  1 1 -2
2.918  49.0  1 1 2
2.171  29.4  1 5 0

Cell and atoms:
Cell lengths 11.462, 11.090, 7.705 Å; angles 90.00, 112.97, 90.00 degrees
Space group C2/c (No. 15)
Symmetry-distinct sites (fractional):
1 Mg 0.140 0.176 0.337 [8 per cell]
2 Cu 0.052 0.393 0.468 [8 per cell]
3 H 0.004 0.207 0.950 [8 per cell]
4 C 0.000 0.052 0.750 [4 per cell]
5 O 0.000 0.169 0.750 [4 per cell]
6 O 0.003 0.231 0.076 [8 per cell]
7 O 0.089 0.447 0.002 [8 per cell]
8 O 0.099 0.004 0.255 [8 per cell]
9 O 0.197 0.348 0.439 [8 per cell]

***

[3]
Diffraction record for Na3MgSnP3O12. The XRD peak list is simulated, not measured: it uses a cell relaxed with GGA-PBE and copper Kα.
Kinematic intensities with the Lorentz-polarization factor, no thermal factor.

Top 6 peaks for 2θ from 10° to 80°, by angle:
d_spacing  I (rel.)  h k l
6.339  100.0  1 1 -1
4.496  68.0  1 1 1
4.473  54.0  2 0 -2
2.839  56.7  0 2 2
2.827  49.4  3 1 -3
2.588  53.4  3 3 -1

Cell and atoms:
Cell lengths 15.498, 8.964, 8.938 Å; angles 90.00, 124.77, 90.00 degrees
Space group Cc (No. 9)
Symmetry-distinct sites (fractional):
1 Na 0.000 0.058 0.000 [4 per cell]
2 Na 0.069 0.276 0.705 [4 per cell]
3 Na 0.320 0.113 0.964 [4 per cell]
4 Mg 0.419 0.250 0.776 [4 per cell]
5 Sn 0.214 0.256 0.164 [4 per cell]
6 P 0.170 0.100 0.479 [4 per cell]
7 P 0.316 0.452 0.975 [4 per cell]
8 P 0.463 0.108 0.465 [4 per cell]
9 O 0.056 0.313 0.970 [4 per cell]
10 O 0.073 0.160 0.463 [4 per cell]
11 O 0.163 0.078 0.974 [4 per cell]
12 O 0.166 0.129 0.300 [4 per cell]
13 O 0.233 0.348 0.970 [4 per cell]
14 O 0.248 0.453 0.297 [4 per cell]
15 O 0.273 0.152 0.648 [4 per cell]
16 O 0.364 0.171 0.278 [4 per cell]
17 O 0.379 0.453 0.645 [4 per cell]
18 O 0.392 0.350 0.963 [4 per cell]
19 O 0.459 0.159 0.621 [4 per cell]
20 O 0.469 0.062 0.957 [4 per cell]

***

[4]
Diffraction record for Ag3PS4. The XRD peak list is simulated, not measured: it uses a cell relaxed with GGA-PBE and copper Kα.
Kinematic intensities with the Lorentz-polarization factor, no thermal factor.

Top 6 peaks for 2θ from 10° to 80°, by angle:
d_spacing  I (rel.)  h k l
3.384  54.0  2 1 0
3.308  60.9  0 0 2
3.066  37.0  0 2 1
3.012  100.0  2 1 1
1.982  35.7  2 3 0
1.848  45.1  2 1 3

Cell and atoms:
Cell lengths 7.758, 6.919, 6.616 Å; angles 90.00, 90.00, 90.00 degrees
Space group Pmn2_1 (No. 31)
Symmetry-distinct sites (fractional):
1 Ag 0.000 0.141 0.000 [2 per cell]
2 Ag 0.235 0.310 0.532 [4 per cell]
3 P 0.000 0.812 0.512 [2 per cell]
4 S 0.000 0.089 0.391 [2 per cell]
5 S 0.000 0.809 0.824 [2 per cell]
6 S 0.220 0.667 0.411 [4 per cell]